Diffraction record for Li2U3V2O15. The PXRD pattern is calculated, not measured: it uses a DFT-relaxed cell (GGA+U, Alexandria) and Cu Kα (weighted mean of Kα1 and Kα2).
Peak positions follow from Bragg's law for the DFT cell and can differ from measured ones.

Atomic structure:
```
Li2U3V2O15
1.0
-3.720 3.720 12.525
3.720 -3.720 12.525
3.720 3.720 -12.525
Li U V O
4 6 4 30
Cartesian
3.720 1.860 -5.550
0.000 1.860 0.713
3.720 1.860 11.813
0.000 1.860 18.075
3.720 -1.860 9.394
3.720 1.860 1.006
3.720 1.860 5.256
0.000 1.860 7.269
0.000 1.860 11.519
0.000 5.579 3.131
3.720 1.860 -2.315
0.000 1.860 3.948
3.720 1.860 8.578
0.000 1.860 14.841
3.720 0.538 -1.179
3.720 -1.860 7.553
2.276 1.860 -3.282
5.163 1.860 -3.282
0.000 0.416 2.980
3.720 -1.860 11.235
3.720 0.029 5.303
1.889 1.860 0.960
5.550 1.860 0.960
0.000 0.029 7.223
3.720 1.860 3.131
3.720 3.182 -1.179
3.720 0.416 9.545
-1.322 1.860 5.084
1.322 1.860 5.084
2.397 1.860 7.441
5.042 1.860 7.441
0.000 3.304 2.980
0.000 0.538 13.704
0.000 1.860 9.394
3.720 3.690 5.303
-1.831 1.860 11.565
1.831 1.860 11.565
0.000 3.690 7.223
0.000 5.579 1.291
3.720 3.304 9.545
-1.444 1.860 15.808
1.444 1.860 15.808
0.000 5.579 4.972
0.000 3.182 13.704
```

Largest 10 diffraction maxima, in order of rising 2θ, 2θ = 10–80°:
2θ/deg, I/Imax
12.4, 22
16.0, 33
18.3, 57
21.4, 54
23.9, 100
27.7, 49
32.3, 20
34.1, 25
36.9, 27
39.0, 26